For ReNi4P, a structure optimized by DFT (GGA-PBE) gives the calculated powder diffraction line list in this record (Cu Kα (λ = 1.5418 Å)).

Structural model:
```
data_ReNi4P
_symmetry_space_group_name_H-M 'F -4 3 m'
_symmetry_Int_Tables_number 216
_symmetry_space_group_name_Hall 'F -4 2 3'
_cell_length_a 6.582
_cell_length_b 6.582
_cell_length_c 6.582
_cell_angle_alpha 90.00
_cell_angle_beta 90.00
_cell_angle_gamma 90.00
loop_
_atom_site_label
_atom_site_fract_x
_atom_site_fract_y
_atom_site_fract_z
Re1 0.000 0.000 0.000
Ni1 0.125 0.125 0.375
P1 0.250 0.250 0.750
```

Main lines, in order of rising 2θ (5 to 70 degrees two-theta):
2theta  I/Imax
23.41  259
27.10  254
38.70  407
45.72  1000
47.88  289
61.40  58
63.18  105